Calculated XRD peak list
Compound: KHg10Pb2
Radiation: λ = 1.5418 Å (Cu Kα)
Structure: DFT lattice parameters and positions (PBE)

Top 6 peaks for 10 to 90 degrees two-theta, by intensity:
Position (°2θ), I_rel
30.98, 1000
35.06, 763
35.90, 685
34.15, 651
59.17, 505
34.04, 500

Structural model:
Cell: 10.5156 8.3645 8.0313 Å, 79.76 51.51 48.73°
Fractional positions:
K 0.0000 0.0000 0.0000
Hg 0.0000 0.0000 0.5000
Hg 0.0049 0.6473 0.3527
Hg 0.2883 0.5061 0.4939
Hg 0.3527 0.9951 0.0049
Hg 0.4939 0.7117 0.2883
Hg 0.5000 0.5000 0.0000
Hg 0.5061 0.2883 0.7117
Hg 0.6473 0.0049 0.9951
Hg 0.7117 0.4939 0.5061
Hg 0.9951 0.3527 0.6473
Pb 0.0000 0.5000 0.0000
Pb 0.5000 0.0000 0.5000